Diffraction record for Lu3V. The X-ray powder pattern is theoretical, not measured: it uses a DFT-relaxed cell (GGA-PBE, Alexandria) and λ = 1.5418 Å (Cu Kα).

Top 10 peaks for 2θ from 10° to 90°, in order of rising 2θ:
- 3.428 Å, intensity 14
- 2.963 Å, intensity 29
- 2.690 Å, intensity 18
- 2.628 Å, intensity 29
- 2.606 Å, intensity 100
- 1.880 Å, intensity 13
- 1.849 Å, intensity 12
- 1.808 Å, intensity 10
- 1.513 Å, intensity 32
- 1.490 Å, intensity 10

```
data_Lu3V
_cell_length_a 3.6166
_cell_length_b 5.2558
_cell_length_c 10.7606
_cell_angle_alpha 90.00
_cell_angle_beta 90.00
_cell_angle_gamma 90.00
_space_group_name_H-M_alt 'I m m m'
_space_group_IT_number 71
_space_group_name_Hall '-I 2 2'
loop_
_atom_site_label
_atom_site_fract_x
_atom_site_fract_y
_atom_site_fract_z
Lu1 0.0000 0.0000 0.0000
Lu2 0.0000 0.5000 0.2138
V1 0.0000 0.0000 0.5000
```